No. 1
BaCo2Te: theoretical X-ray diffraction stick pattern (Cu Kα (weighted mean of Kα1 and Kα2)), based on a cell relaxed with GGA-PBE.
Lines closer than 0.1° are merged.

Atomic structure:
a = 6.517 Å, b = 6.517 Å, c = 6.517 Å
α = 37.83°, β = 37.83°, γ = 37.83°
Fractional coordinates of all 4 atoms:
Ba1 0.000 0.000 0.000
Co1 0.470 0.470 0.470
Co2 0.799 0.799 0.799
Te1 0.191 0.191 0.191

Main lines, by intensity (10° ≤ 2θ ≤ 80°):
| Position (°2θ) | Rel. int. |
| --- | --- |
| 42.80 | 100 |
| 34.83 | 85 |
| 31.42 | 81 |
| 24.82 | 60 |
| 52.88 | 41 |
| 29.56 | 36 |
| 56.66 | 25 |
| 14.66 | 23 |

***

No. 2
BaTi2Co: theoretical X-ray diffraction stick pattern (Cu Kα (weighted mean of Kα1 and Kα2)), based on a cell relaxed with GGA-PBE.
Lines closer than 0.1° are merged.

Atomic structure:
a = 8.452 Å, b = 8.452 Å, c = 8.452 Å
α = 142.28°, β = 142.28°, γ = 54.40°
Fractional coordinates of all 8 atoms:
Ba1 0.375 0.625 0.750
Ba2 0.625 0.375 0.250
Ti1 0.000 0.000 0.000
Ti2 0.000 0.000 0.500
Ti3 0.000 0.500 0.000
Ti4 0.500 0.000 0.500
Co1 0.125 0.875 0.250
Co2 0.875 0.125 0.750

Main lines, by intensity (10° ≤ 2θ ≤ 80°):
| Position (°2θ) | Rel. int. |
| --- | --- |
| 25.93 | 100 |
| 24.10 | 30 |
| 40.84 | 29 |
| 53.32 | 28 |
| 32.78 | 27 |
| 43.02 | 25 |
| 54.49 | 25 |
| 37.28 | 19 |

***

No. 3
BaYCo2: theoretical X-ray diffraction stick pattern (Cu Kα (weighted mean of Kα1 and Kα2)), based on a cell relaxed with GGA-PBE.
Lines closer than 0.1° are merged.

Atomic structure:
a = 3.997 Å, b = 3.997 Å, c = 8.158 Å
α = 104.36°, β = 104.36°, γ = 60.01°
Fractional coordinates of all 4 atoms:
Ba1 0.000 0.000 0.000
Y1 0.826 0.826 0.483
Co1 0.231 0.231 0.697
Co2 0.565 0.565 0.699

Main lines, by intensity (10° ≤ 2θ ≤ 80°):
| Position (°2θ) | Rel. int. |
| --- | --- |
| 32.14 | 100 |
| 11.32 | 70 |
| 45.37 | 65 |
| 29.98 | 64 |
| 26.02 | 43 |
| 37.39 | 33 |
| 22.75 | 21 |
| 56.68 | 19 |